1.
Diffraction record for NaPrSn. The powder X-ray diffraction pattern is simulated, not measured: it uses DFT lattice parameters and positions (PBE) and CuKα.
Peak positions follow from Bragg's law for the DFT cell and can differ from measured ones.

```
NaPrSn
1.0
5.4863 0.0000 0.0000
0.0000 9.6696 0.0000
0.0000 0.0000 6.5794
Na Pr Sn
4 4 4
Direct
0.0000 0.0000 0.0000 Na
0.0000 0.0000 0.5000 Na
0.5000 0.5000 0.0000 Na
0.5000 0.5000 0.5000 Na
0.0000 0.3315 0.2500 Pr
0.0000 0.6685 0.7500 Pr
0.5000 0.1685 0.7500 Pr
0.5000 0.8315 0.2500 Pr
0.0000 0.3368 0.7500 Sn
0.0000 0.6632 0.2500 Sn
0.5000 0.1632 0.2500 Sn
0.5000 0.8368 0.7500 Sn
```

Most intense lines, 2θ from 10° to 90°, in order of rising 2θ:
2θ (°)	d [Å]	I (rel.)
18.59	4.772	53.7
27.11	3.290	53.5
32.21	2.779	100.0
32.64	2.743	48.4
33.07	2.708	55.7
42.59	2.123	64.5
42.93	2.107	31.6
58.02	1.590	30.2

2.
Diffraction record for TlAu10. The powder X-ray diffraction pattern is simulated, not measured: it uses DFT lattice parameters and positions (PBE) and CuKα.
Peak positions follow from Bragg's law for the DFT cell and can differ from measured ones.

```
TlAu10
1.0
4.5238 -2.0322 0.0000
4.5238 2.0322 0.0000
-0.3407 0.0000 33.5518
Tl Au
2 20
Direct
0.1508 0.1508 0.1887 Tl
0.8492 0.8492 0.8113 Tl
0.0461 0.0461 0.6836 Au
0.0511 0.0511 0.4017 Au
0.1476 0.1476 0.7694 Au
0.1498 0.1498 0.4858 Au
0.2483 0.2483 0.5703 Au
0.2510 0.2510 0.2870 Au
0.3463 0.3463 0.6556 Au
0.3517 0.3517 0.3726 Au
0.4502 0.4502 0.4578 Au
0.4504 0.4504 0.7430 Au
0.5496 0.5496 0.2570 Au
0.5498 0.5498 0.5422 Au
0.6483 0.6483 0.6274 Au
0.6537 0.6537 0.3444 Au
0.7490 0.7490 0.7130 Au
0.7517 0.7517 0.4297 Au
0.8502 0.8502 0.5142 Au
0.8524 0.8524 0.2306 Au
0.9489 0.9489 0.5983 Au
0.9539 0.9539 0.3164 Au
```

Most intense lines, 2θ from 10° to 90°, in order of rising 2θ:
2θ (°)	d [Å]	I (rel.)
36.18	2.483	100.0
37.95	2.371	93.3
38.29	2.351	80.1
38.61	2.332	79.9
42.51	2.127	41.3
44.46	2.038	38.9
44.61	2.031	56.8
64.78	1.439	29.3

3.
Diffraction record for Dy3Er2Lu2Te2Ir2. The powder X-ray diffraction pattern is simulated, not measured: it uses DFT lattice parameters and positions (PBE) and CuKα.
Peak positions follow from Bragg's law for the DFT cell and can differ from measured ones.

```
Dy3Er2Lu2Te2Ir2
1.0
-1.9553 7.8092 4.7101
1.9553 -7.8092 4.7101
1.9553 7.8092 -4.7101
Dy Er Lu Te Ir
3 2 2 2 2
Direct
0.0000 0.0000 0.0000 Dy
0.0553 0.3704 0.6849 Dy
0.6855 0.3704 0.3151 Dy
0.4491 0.5807 0.8683 Er
0.7124 0.5807 0.1317 Er
0.0825 0.7294 0.3531 Lu
0.3764 0.7294 0.6469 Lu
0.3355 0.3355 0.0000 Te
0.7336 0.2336 0.5000 Te
0.3097 0.0722 0.2374 Ir
0.8348 0.0722 0.7625 Ir
```

Most intense lines, 2θ from 10° to 90°, in order of rising 2θ:
2θ (°)	d [Å]	I (rel.)
11.33	7.809	23.0
30.25	2.954	36.5
33.32	2.689	43.9
33.81	2.651	100.0
34.43	2.605	46.0
36.70	2.448	21.3
38.53	2.336	25.5
46.46	1.955	32.0

4.
Diffraction record for Er3Cu2Ni7. The powder X-ray diffraction pattern is simulated, not measured: it uses DFT lattice parameters and positions (PBE) and CuKα.
Peak positions follow from Bragg's law for the DFT cell and can differ from measured ones.

```
Er3Cu2Ni7
1.0
2.4868 1.4357 8.0382
-2.4868 1.4357 8.0382
0.0000 -2.8715 8.0382
Er Cu Ni
3 2 7
Direct
0.0000 0.0000 0.0000 Er
0.1391 0.1391 0.1391 Er
0.8609 0.8609 0.8609 Er
0.3336 0.3336 0.3336 Cu
0.6664 0.6664 0.6664 Cu
0.0812 0.5845 0.5845 Ni
0.4155 0.4155 0.9188 Ni
0.4155 0.9188 0.4155 Ni
0.5000 0.5000 0.5000 Ni
0.5845 0.0812 0.5845 Ni
0.5845 0.5845 0.0812 Ni
0.9188 0.4155 0.4155 Ni
```

Most intense lines, 2θ from 10° to 90°, in order of rising 2θ:
2θ (°)	d [Å]	I (rel.)
33.30	2.690	48.8
36.12	2.487	58.6
36.38	2.470	41.1
42.13	2.145	39.7
42.76	2.115	100.0
63.17	1.472	16.0
69.53	1.352	22.4
76.64	1.243	22.3

5.
Diffraction record for Ta3Ni2B. The powder X-ray diffraction pattern is simulated, not measured: it uses DFT lattice parameters and positions (PBE) and CuKα.
Peak positions follow from Bragg's law for the DFT cell and can differ from measured ones.

```
Ta3Ni2B
1.0
0.0000 3.8955 4.6935
2.4076 0.0000 4.6935
2.4076 3.8955 0.0000
Ta Ni B
3 2 1
Direct
0.0000 0.0000 0.0000 Ta
0.1910 0.5245 0.4755 Ta
0.5245 0.1910 0.8090 Ta
0.1158 0.1158 0.3842 Ni
0.6158 0.6158 0.8842 Ni
0.5767 0.5767 0.4233 B
```

Most intense lines, 2θ from 10° to 90°, in order of rising 2θ:
2θ (°)	d [Å]	I (rel.)
18.91	4.693	42.4
23.70	3.754	36.9
36.12	2.486	69.5
37.35	2.408	22.7
40.62	2.221	100.0
42.18	2.142	43.9
45.10	2.010	35.4
48.50	1.877	38.4

6.
Diffraction record for Y3Mg2AgHgAu2. The powder X-ray diffraction pattern is simulated, not measured: it uses DFT lattice parameters and positions (PBE) and CuKα.
Peak positions follow from Bragg's law for the DFT cell and can differ from measured ones.

```
Y3Mg2AgHgAu2
1.0
3.9718 0.0000 0.0000
0.0000 6.6684 3.9021
0.0000 -6.6684 3.9021
Y Mg Ag Hg Au
3 2 1 1 2
Direct
0.0000 0.0000 0.0000 Y
0.0000 0.1644 0.5627 Y
0.0000 0.5627 0.1644 Y
0.5000 0.5768 0.8284 Mg
0.5000 0.8284 0.5768 Mg
0.0000 0.5915 0.5915 Ag
0.5000 0.3189 0.3189 Hg
0.5000 0.2364 0.8886 Au
0.5000 0.8886 0.2364 Au
```

Most intense lines, 2θ from 10° to 90°, in order of rising 2θ:
2θ (°)	d [Å]	I (rel.)
13.14	6.736	37.6
23.02	3.863	34.6
26.05	3.421	29.3
32.33	2.769	80.3
34.93	2.569	100.0
35.15	2.553	24.8
40.16	2.245	26.3
45.68	1.986	24.3

7.
Diffraction record for Zn2CdAs. The powder X-ray diffraction pattern is simulated, not measured: it uses DFT lattice parameters and positions (PBE) and CuKα.
Peak positions follow from Bragg's law for the DFT cell and can differ from measured ones.

```
Zn2CdAs
1.0
6.7064 0.0000 0.0000
0.0000 6.7064 0.0000
0.0000 0.0000 6.7064
Zn Cd As
8 4 4
Direct
0.0000 0.0000 0.0000 Zn
0.0000 0.5000 0.5000 Zn
0.2500 0.2500 0.2500 Zn
0.2500 0.7500 0.7500 Zn
0.5000 0.0000 0.5000 Zn
0.5000 0.5000 0.0000 Zn
0.7500 0.2500 0.7500 Zn
0.7500 0.7500 0.2500 Zn
0.2500 0.2500 0.7500 Cd
0.2500 0.7500 0.2500 Cd
0.7500 0.2500 0.2500 Cd
0.7500 0.7500 0.7500 Cd
0.0000 0.0000 0.5000 As
0.0000 0.5000 0.0000 As
0.5000 0.0000 0.0000 As
0.5000 0.5000 0.5000 As
```

Most intense lines, 2θ from 10° to 90°, in order of rising 2θ:
2θ (°)	d [Å]	I (rel.)
22.97	3.872	4.2
26.58	3.353	1.6
37.95	2.371	100.0
44.82	2.022	2.1
54.75	1.677	16.6
60.14	1.539	0.8
68.55	1.369	32.7
81.12	1.186	10.1

8.
Diffraction record for TlAg3S2. The powder X-ray diffraction pattern is simulated, not measured: it uses DFT lattice parameters and positions (PBE) and CuKα.
Peak positions follow from Bragg's law for the DFT cell and can differ from measured ones.

```
TlAg3S2
1.0
8.4203 0.0000 0.0000
0.0000 8.9064 0.0000
0.0000 0.0000 7.0492
Tl Ag S
4 12 8
Direct
0.0000 0.0799 0.2500 Tl
0.0000 0.9201 0.7500 Tl
0.5000 0.4201 0.7500 Tl
0.5000 0.5799 0.2500 Tl
0.0000 0.3180 0.7500 Ag
0.0000 0.6820 0.2500 Ag
0.1624 0.4048 0.1169 Ag
0.1624 0.5952 0.6169 Ag
0.3376 0.0952 0.6169 Ag
0.3376 0.9048 0.1169 Ag
0.5000 0.1820 0.2500 Ag
0.5000 0.8180 0.7500 Ag
0.6624 0.0952 0.8831 Ag
0.6624 0.9048 0.3831 Ag
0.8376 0.4048 0.3831 Ag
0.8376 0.5952 0.8831 Ag
0.1840 0.3251 0.4832 S
0.1840 0.6749 0.9832 S
0.3160 0.1749 0.9832 S
0.3160 0.8251 0.4832 S
0.6840 0.1749 0.5168 S
0.6840 0.8251 0.0168 S
0.8160 0.3251 0.0168 S
0.8160 0.6749 0.5168 S
```

Most intense lines, 2θ from 10° to 90°, in order of rising 2θ:
2θ (°)	d [Å]	I (rel.)
29.24	3.054	23.9
31.90	2.806	100.0
33.15	2.703	51.3
33.47	2.677	43.7
34.47	2.602	65.2
43.55	2.078	34.2
49.62	1.837	31.9
60.07	1.540	22.2

9.
Diffraction record for Zn3P2O8. The powder X-ray diffraction pattern is simulated, not measured: it uses DFT lattice parameters and positions (PBE) and CuKα.
Peak positions follow from Bragg's law for the DFT cell and can differ from measured ones.

```
Zn3P2O8
1.0
8.2306 0.0000 0.0000
0.0000 9.1728 0.0000
-3.3241 0.0000 7.9911
Zn P O
12 8 32
Direct
0.0109 0.1121 0.3657 Zn
0.0109 0.3879 0.8657 Zn
0.2978 0.1119 0.0631 Zn
0.2978 0.3881 0.5631 Zn
0.4170 0.7322 0.0287 Zn
0.4170 0.7678 0.5287 Zn
0.5830 0.2322 0.4713 Zn
0.5830 0.2678 0.9713 Zn
0.7022 0.6119 0.4369 Zn
0.7022 0.8881 0.9369 Zn
0.9891 0.6121 0.1343 Zn
0.9891 0.8879 0.6343 Zn
0.1400 0.6147 0.6769 P
0.1400 0.8853 0.1769 P
0.3579 0.0591 0.6924 P
0.3579 0.4409 0.1924 P
0.6421 0.5591 0.8076 P
0.6421 0.9409 0.3076 P
0.8600 0.1147 0.8231 P
0.8600 0.3853 0.3231 P
0.0476 0.1793 0.9241 O
0.0476 0.3207 0.4241 O
0.1340 0.0434 0.2338 O
0.1340 0.4566 0.7338 O
0.1612 0.0192 0.6010 O
0.1612 0.4808 0.1010 O
0.2157 0.7271 0.8178 O
0.2157 0.7729 0.3178 O
0.2528 0.6044 0.5694 O
0.2528 0.8956 0.0694 O
0.3919 0.1146 0.8711 O
0.3919 0.3854 0.3711 O
0.3985 0.1813 0.5898 O
0.3985 0.3187 0.0898 O
0.4733 0.5775 0.2026 O
0.4733 0.9225 0.7026 O
0.5267 0.0775 0.2974 O
0.5267 0.4225 0.7974 O
0.6015 0.6813 0.9102 O
0.6015 0.8187 0.4102 O
0.6081 0.6146 0.6289 O
0.6081 0.8854 0.1289 O
0.7472 0.1044 0.9306 O
0.7472 0.3956 0.4306 O
0.7843 0.2271 0.6822 O
0.7843 0.2729 0.1822 O
0.8388 0.5192 0.8990 O
0.8388 0.9808 0.3990 O
0.8660 0.5434 0.2662 O
0.8660 0.9566 0.7662 O
0.9524 0.6793 0.5759 O
0.9524 0.8207 0.0759 O
```

Most intense lines, 2θ from 10° to 90°, in order of rising 2θ:
2θ (°)	d [Å]	I (rel.)
27.22	3.276	100.0
28.53	3.128	28.8
28.97	3.082	42.6
29.24	3.055	35.0
31.26	2.862	52.2
31.54	2.837	28.7
36.11	2.487	26.2
48.99	1.859	27.0

10.
Diffraction record for LaSnSbPd2. The powder X-ray diffraction pattern is simulated, not measured: it uses DFT lattice parameters and positions (PBE) and CuKα.
Peak positions follow from Bragg's law for the DFT cell and can differ from measured ones.

```
LaSnSbPd2
1.0
4.5811 0.0000 0.0000
0.0000 4.5811 0.0000
0.0000 0.0000 10.8882
La Sn Sb Pd
2 2 2 4
Direct
0.2500 0.2500 0.2400 La
0.7500 0.7500 0.7600 La
0.2500 0.7500 0.5000 Sn
0.7500 0.2500 0.5000 Sn
0.2500 0.2500 0.8701 Sb
0.7500 0.7500 0.1299 Sb
0.2500 0.2500 0.6315 Pd
0.2500 0.7500 0.0000 Pd
0.7500 0.2500 0.0000 Pd
0.7500 0.7500 0.3685 Pd
```

Most intense lines, 2θ from 10° to 90°, in order of rising 2θ:
2θ (°)	d [Å]	I (rel.)
31.45	2.845	56.3
32.15	2.784	100.0
39.34	2.291	70.2
43.42	2.084	31.5
46.16	1.967	25.2
51.20	1.784	28.3
56.85	1.620	23.8
66.83	1.400	24.3

11.
Diffraction record for Hf3Fe4As4. The powder X-ray diffraction pattern is simulated, not measured: it uses DFT lattice parameters and positions (PBE) and CuKα.
Peak positions follow from Bragg's law for the DFT cell and can differ from measured ones.

```
Hf3Fe4As4
1.0
6.4529 0.0000 0.0000
0.0000 3.7254 0.0000
-0.0213 0.0000 7.4433
Hf Fe As
3 4 4
Direct
0.0000 0.0000 0.0000 Hf
0.0812 0.5000 0.6444 Hf
0.5694 0.5000 0.4917 Hf
0.1365 0.5000 0.2675 Fe
0.3947 0.0000 0.7672 Fe
0.6632 0.5000 0.8688 Fe
0.9054 0.0000 0.3699 Fe
0.2835 0.0000 0.4290 As
0.3099 0.5000 0.9736 As
0.7618 0.5000 0.1815 As
0.7768 0.0000 0.6854 As
```

Most intense lines, 2θ from 10° to 90°, in order of rising 2θ:
2θ (°)	d [Å]	I (rel.)
11.89	7.443	15.5
27.66	3.225	20.0
30.19	2.961	22.3
36.87	2.438	86.8
38.86	2.317	100.0
43.84	2.065	24.4
48.88	1.863	38.1
64.16	1.452	16.9

12.
Diffraction record for Nd2HfS5. The powder X-ray diffraction pattern is simulated, not measured: it uses DFT lattice parameters and positions (PBE) and CuKα.
Peak positions follow from Bragg's law for the DFT cell and can differ from measured ones.

```
Nd2HfS5
1.0
11.5767 0.0000 0.0000
0.0000 7.9910 0.0000
0.0000 0.0000 7.3693
Nd Hf S
8 4 20
Direct
0.1757 0.0012 0.0380 Nd
0.1757 0.4988 0.0380 Nd
0.3243 0.5012 0.5380 Nd
0.3243 0.9988 0.5380 Nd
0.6757 0.0012 0.4620 Nd
0.6757 0.4988 0.4620 Nd
0.8243 0.5012 0.9620 Nd
0.8243 0.9988 0.9620 Nd
0.0078 0.7500 0.5737 Hf
0.4922 0.2500 0.0737 Hf
0.5078 0.7500 0.9263 Hf
0.9922 0.2500 0.4263 Hf
0.0051 0.7500 0.9418 S
0.0836 0.0356 0.6667 S
0.0836 0.4644 0.6667 S
0.1841 0.7500 0.3453 S
0.2058 0.2500 0.3247 S
0.2942 0.7500 0.8247 S
0.3159 0.2500 0.8453 S
0.4164 0.5356 0.1667 S
0.4164 0.9644 0.1667 S
0.4949 0.2500 0.4418 S
0.5051 0.7500 0.5582 S
0.5836 0.0356 0.8333 S
0.5836 0.4644 0.8333 S
0.6841 0.7500 0.1547 S
0.7058 0.2500 0.1753 S
0.7942 0.7500 0.6753 S
0.8159 0.2500 0.6547 S
0.9164 0.5356 0.3333 S
0.9164 0.9644 0.3333 S
0.9949 0.2500 0.0582 S
```

Most intense lines, 2θ from 10° to 90°, in order of rising 2θ:
2θ (°)	d [Å]	I (rel.)
24.15	3.685	45.2
26.07	3.419	100.0
26.52	3.361	78.0
27.12	3.288	58.6
36.63	2.453	62.3
38.39	2.345	38.5
47.03	1.932	57.3
53.10	1.725	38.9